# 1
For AcPm3Nd8, a cell relaxed with PBE gives the calculated XRD peak list in this record (Cu Kα, 1.54184 Å).

```
data_AcPm3Nd8
_chemical_formula_sum 'Ac1 Pm3 Nd8'
_cell_length_a 8.9868
_cell_length_b 8.9868
_cell_length_c 8.9868
_cell_angle_alpha 136.94
_cell_angle_beta 97.83
_cell_angle_gamma 97.65
_space_group_name_H-M_alt 'P 1'
_space_group_IT_number 1
loop_
_space_group_symop_operation_xyz
'x,y,z'
loop_
_atom_site_label
_atom_site_type_symbol
_atom_site_fract_x
_atom_site_fract_y
_atom_site_fract_z
Ac1 Ac 0.0000 0.0000 0.0000
Pm1 Pm 0.2681 0.7681 0.5000
Pm2 Pm 0.5000 0.5000 0.0000
Pm3 Pm 0.7319 0.2319 0.5000
Nd1 Nd 0.0795 0.2533 0.8262
Nd2 Nd 0.2679 0.2358 0.5037
Nd3 Nd 0.2679 0.7642 0.0322
Nd4 Nd 0.4271 0.2533 0.1738
Nd5 Nd 0.5729 0.7467 0.8262
Nd6 Nd 0.7321 0.2358 0.9678
Nd7 Nd 0.7321 0.7642 0.4963
Nd8 Nd 0.9205 0.7467 0.1738
```

Main lines, sorted by position (5° ≤ 2θ ≤ 70°):
2θ 15.38, I 21; 2θ 21.53, I 23; 2θ 30.22, I 68; 2θ 30.45, I 100; 2θ 31.05, I 59; 2θ 34.64, I 43; 2θ 49.95, I 23; 2θ 54.25, I 24


# 2
For Ac2Pm5Nd2, a cell relaxed with PBE gives the calculated XRD peak list in this record (Cu Kα, 1.54184 Å).

```
data_Ac2Pm5Nd2
_chemical_formula_sum 'Ac2 Pm5 Nd2'
_cell_length_a 3.6949
_cell_length_b 8.8432
_cell_length_c 10.7513
_cell_angle_alpha 98.82
_cell_angle_beta 99.76
_cell_angle_gamma 102.03
_space_group_name_H-M_alt 'P 1'
_space_group_IT_number 1
loop_
_space_group_symop_operation_xyz
'x,y,z'
loop_
_atom_site_label
_atom_site_type_symbol
_atom_site_fract_x
_atom_site_fract_y
_atom_site_fract_z
Ac1 Ac 0.2168 0.1737 0.2635
Ac2 Ac 0.7832 0.8263 0.7365
Pm1 Pm 0.0000 0.5000 0.5000
Pm2 Pm 0.3907 0.1686 0.6106
Pm3 Pm 0.4465 0.8355 0.0570
Pm4 Pm 0.5535 0.1645 0.9430
Pm5 Pm 0.6093 0.8314 0.3894
Nd1 Nd 0.1553 0.4690 0.8402
Nd2 Nd 0.8447 0.5310 0.1598
```

Main lines, sorted by position (5° ≤ 2θ ≤ 70°):
2θ 28.72, I 36; 2θ 29.68, I 100; 2θ 29.95, I 45; 2θ 31.65, I 40; 2θ 32.16, I 43; 2θ 38.45, I 15; 2θ 58.73, I 14; 2θ 59.80, I 13


# 3
For AcPm7Nd4, a cell relaxed with PBE gives the calculated XRD peak list in this record (Cu Kα, 1.54184 Å).

```
data_AcPm7Nd4
_chemical_formula_sum 'Ac1 Pm7 Nd4'
_cell_length_a 6.4381
_cell_length_b 7.4235
_cell_length_c 9.2043
_cell_angle_alpha 89.97
_cell_angle_beta 76.41
_cell_angle_gamma 89.92
_space_group_name_H-M_alt 'P 1'
_space_group_IT_number 1
loop_
_space_group_symop_operation_xyz
'x,y,z'
loop_
_atom_site_label
_atom_site_type_symbol
_atom_site_fract_x
_atom_site_fract_y
_atom_site_fract_z
Ac1 Ac 0.0000 0.0000 0.0000
Pm1 Pm 0.0000 0.5000 0.0000
Pm2 Pm 0.2234 0.0001 0.3356
Pm3 Pm 0.2806 0.7470 0.6660
Pm4 Pm 0.5000 0.2527 0.0003
Pm5 Pm 0.5000 0.7473 0.9997
Pm6 Pm 0.7194 0.2530 0.3340
Pm7 Pm 0.7766 0.9999 0.6644
Nd1 Nd 0.2190 0.5001 0.3320
Nd2 Nd 0.2812 0.2526 0.6655
Nd3 Nd 0.7188 0.7474 0.3345
Nd4 Nd 0.7810 0.4999 0.6680
```

Main lines, sorted by position (5° ≤ 2θ ≤ 70°):
2θ 27.94, I 40; 2θ 29.96, I 50; 2θ 30.83, I 100; 2θ 32.43, I 29; 2θ 32.46, I 59; 2θ 49.05, I 38; 2θ 58.51, I 23; 2θ 58.59, I 23


# 4
For Ac3PmNd3, a cell relaxed with PBE gives the calculated XRD peak list in this record (Cu Kα, 1.54184 Å).

```
data_Ac3PmNd3
_chemical_formula_sum 'Ac6 Pm2 Nd6'
_cell_length_a 10.1971
_cell_length_b 10.1971
_cell_length_c 6.1469
_cell_angle_alpha 90.00
_cell_angle_beta 90.00
_cell_angle_gamma 120.00
_space_group_name_H-M_alt 'P 1'
_space_group_IT_number 1
loop_
_space_group_symop_operation_xyz
'x,y,z'
loop_
_atom_site_label
_atom_site_type_symbol
_atom_site_fract_x
_atom_site_fract_y
_atom_site_fract_z
Ac1 Ac 0.0940 0.6278 0.2500
Ac2 Ac 0.3722 0.4662 0.2500
Ac3 Ac 0.4662 0.0940 0.7500
Ac4 Ac 0.5338 0.9060 0.2500
Ac5 Ac 0.6278 0.5338 0.7500
Ac6 Ac 0.9060 0.3722 0.7500
Pm1 Pm 0.3333 0.6667 0.7500
Pm2 Pm 0.6667 0.3333 0.2500
Nd1 Nd 0.0455 0.8146 0.7500
Nd2 Nd 0.1854 0.2309 0.7500
Nd3 Nd 0.2309 0.0455 0.2500
Nd4 Nd 0.7691 0.9545 0.7500
Nd5 Nd 0.8146 0.7691 0.2500
Nd6 Nd 0.9545 0.1854 0.2500
```

Main lines, sorted by position (5° ≤ 2θ ≤ 70°):
2θ 26.71, I 25; 2θ 29.05, I 25; 2θ 30.48, I 100; 2θ 39.87, I 17; 2θ 47.16, I 20; 2θ 52.40, I 22; 2θ 56.35, I 24; 2θ 57.20, I 17


# 5
For Ac3PmNd6, a cell relaxed with PBE gives the calculated XRD peak list in this record (Cu Kα, 1.54184 Å).

```
data_Ac3PmNd6
_chemical_formula_sum 'Ac3 Pm1 Nd6'
_cell_length_a 7.3255
_cell_length_b 7.3255
_cell_length_c 7.3255
_cell_angle_alpha 88.86
_cell_angle_beta 88.86
_cell_angle_gamma 88.86
_space_group_name_H-M_alt 'P 1'
_space_group_IT_number 1
loop_
_space_group_symop_operation_xyz
'x,y,z'
loop_
_atom_site_label
_atom_site_type_symbol
_atom_site_fract_x
_atom_site_fract_y
_atom_site_fract_z
Ac1 Ac 0.0000 0.0000 0.0000
Ac2 Ac 0.2586 0.2586 0.2586
Ac3 Ac 0.7414 0.7414 0.7414
Pm1 Pm 0.5000 0.5000 0.5000
Nd1 Nd 0.0938 0.7521 0.4251
Nd2 Nd 0.2479 0.5749 0.9062
Nd3 Nd 0.4251 0.0938 0.7521
Nd4 Nd 0.5749 0.9062 0.2479
Nd5 Nd 0.7521 0.4251 0.0938
Nd6 Nd 0.9062 0.2479 0.5749
```

Main lines, sorted by position (5° ≤ 2θ ≤ 70°):
2θ 17.29, I 18; 2θ 27.01, I 57; 2θ 29.39, I 24; 2θ 30.18, I 100; 2θ 38.66, I 24; 2θ 40.95, I 19; 2θ 51.70, I 19; 2θ 53.61, I 20


# 6
For AcPm6Nd3, a cell relaxed with PBE gives the calculated XRD peak list in this record (Cu Kα, 1.54184 Å).

```
data_AcPm6Nd3
_chemical_formula_sum 'Ac1 Pm6 Nd3'
_cell_length_a 7.1375
_cell_length_b 7.1375
_cell_length_c 7.1375
_cell_angle_alpha 90.60
_cell_angle_beta 90.60
_cell_angle_gamma 90.60
_space_group_name_H-M_alt 'P 1'
_space_group_IT_number 1
loop_
_space_group_symop_operation_xyz
'x,y,z'
loop_
_atom_site_label
_atom_site_type_symbol
_atom_site_fract_x
_atom_site_fract_y
_atom_site_fract_z
Ac1 Ac 0.0000 0.0000 0.0000
Pm1 Pm 0.0000 0.3362 0.6638
Pm2 Pm 0.1726 0.8274 0.5000
Pm3 Pm 0.3362 0.6638 0.0000
Pm4 Pm 0.5000 0.1726 0.8274
Pm5 Pm 0.6638 0.0000 0.3362
Pm6 Pm 0.8274 0.5000 0.1726
Nd1 Nd 0.2601 0.2601 0.2601
Nd2 Nd 0.5000 0.5000 0.5000
Nd3 Nd 0.7399 0.7399 0.7399
```

Main lines, sorted by position (5° ≤ 2θ ≤ 70°):
2θ 28.08, I 63; 2θ 30.52, I 100; 2θ 30.96, I 17; 2θ 40.08, I 17; 2θ 41.95, I 21; 2θ 52.75, I 22; 2θ 54.24, I 20; 2θ 54.86, I 16


# 7
For AcPm3Nd5, a cell relaxed with PBE gives the calculated XRD peak list in this record (Cu Kα, 1.54184 Å).

```
data_AcPm3Nd5
_chemical_formula_sum 'Ac2 Pm6 Nd10'
_cell_length_a 10.3442
_cell_length_b 10.3442
_cell_length_c 7.4034
_cell_angle_alpha 90.00
_cell_angle_beta 90.00
_cell_angle_gamma 55.59
_space_group_name_H-M_alt 'P 1'
_space_group_IT_number 1
loop_
_space_group_symop_operation_xyz
'x,y,z'
loop_
_atom_site_label
_atom_site_type_symbol
_atom_site_fract_x
_atom_site_fract_y
_atom_site_fract_z
Ac1 Ac 0.1725 0.8275 0.7500
Ac2 Ac 0.8275 0.1725 0.2500
Pm1 Pm 0.3190 0.3221 0.7500
Pm2 Pm 0.3221 0.3190 0.2500
Pm3 Pm 0.5000 0.5000 0.0000
Pm4 Pm 0.5000 0.5000 0.5000
Pm5 Pm 0.6779 0.6810 0.7500
Pm6 Pm 0.6810 0.6779 0.2500
Nd1 Nd 0.0089 0.6583 0.0032
Nd2 Nd 0.0089 0.6583 0.4968
Nd3 Nd 0.1927 0.8073 0.2500
Nd4 Nd 0.3417 0.9911 0.0032
Nd5 Nd 0.3417 0.9911 0.4968
Nd6 Nd 0.6583 0.0089 0.5032
Nd7 Nd 0.6583 0.0089 0.9968
Nd8 Nd 0.8073 0.1927 0.7500
Nd9 Nd 0.9911 0.3417 0.5032
Nd10 Nd 0.9911 0.3417 0.9968
```

Main lines, sorted by position (5° ≤ 2θ ≤ 70°):
2θ 28.17, I 65; 2θ 29.28, I 66; 2θ 29.71, I 100; 2θ 32.01, I 62; 2θ 36.35, I 30; 2θ 37.22, I 40; 2θ 50.58, I 21; 2θ 55.80, I 30


# 8
For Ac5Pm2Nd6, a cell relaxed with PBE gives the calculated XRD peak list in this record (Cu Kα, 1.54184 Å).

```
data_Ac5Pm2Nd6
_chemical_formula_sum 'Ac10 Pm4 Nd12'
_cell_length_a 12.1482
_cell_length_b 22.0422
_cell_length_c 3.8148
_cell_angle_alpha 90.00
_cell_angle_beta 90.00
_cell_angle_gamma 90.00
_space_group_name_H-M_alt 'P 1'
_space_group_IT_number 1
loop_
_space_group_symop_operation_xyz
'x,y,z'
loop_
_atom_site_label
_atom_site_type_symbol
_atom_site_fract_x
_atom_site_fract_y
_atom_site_fract_z
Ac1 Ac 0.0000 0.0000 0.0000
Ac2 Ac 0.0496 0.2894 0.0000
Ac3 Ac 0.1934 0.5753 0.0000
Ac4 Ac 0.3066 0.0753 0.0000
Ac5 Ac 0.4504 0.7894 0.0000
Ac6 Ac 0.5000 0.5000 0.0000
Ac7 Ac 0.5496 0.2106 0.0000
Ac8 Ac 0.6934 0.9247 0.0000
Ac9 Ac 0.8066 0.4247 0.0000
Ac10 Ac 0.9504 0.7106 0.0000
Pm1 Pm 0.2085 0.7321 0.5000
Pm2 Pm 0.2915 0.2321 0.5000
Pm3 Pm 0.7085 0.7679 0.5000
Pm4 Pm 0.7915 0.2679 0.5000
Nd1 Nd 0.0562 0.1435 0.5000
Nd2 Nd 0.0812 0.4359 0.5000
Nd3 Nd 0.1904 0.8721 0.0000
Nd4 Nd 0.3096 0.3721 0.0000
Nd5 Nd 0.4188 0.9359 0.5000
Nd6 Nd 0.4438 0.6435 0.5000
Nd7 Nd 0.5562 0.3565 0.5000
Nd8 Nd 0.5812 0.0641 0.5000
Nd9 Nd 0.6904 0.6279 0.0000
Nd10 Nd 0.8096 0.1279 0.0000
Nd11 Nd 0.9188 0.5641 0.5000
Nd12 Nd 0.9438 0.8565 0.5000
```

Main lines, sorted by position (5° ≤ 2θ ≤ 70°):
2θ 27.35, I 59; 2θ 29.30, I 96; 2θ 29.41, I 70; 2θ 29.69, I 87; 2θ 30.22, I 96; 2θ 32.12, I 100; 2θ 34.53, I 44; 2θ 47.67, I 47


# 9
For Ac8Pm6Nd, a cell relaxed with PBE gives the calculated XRD peak list in this record (Cu Kα, 1.54184 Å).

```
data_Ac8Pm6Nd
_chemical_formula_sum 'Ac8 Pm6 Nd1'
_cell_length_a 9.2541
_cell_length_b 9.2541
_cell_length_c 9.2541
_cell_angle_alpha 66.52
_cell_angle_beta 66.52
_cell_angle_gamma 66.52
_space_group_name_H-M_alt 'P 1'
_space_group_IT_number 1
loop_
_space_group_symop_operation_xyz
'x,y,z'
loop_
_atom_site_label
_atom_site_type_symbol
_atom_site_fract_x
_atom_site_fract_y
_atom_site_fract_z
Ac1 Ac 0.0882 0.6782 0.3621
Ac2 Ac 0.2317 0.2317 0.2317
Ac3 Ac 0.3218 0.6379 0.9118
Ac4 Ac 0.3621 0.0882 0.6782
Ac5 Ac 0.6379 0.9118 0.3218
Ac6 Ac 0.6782 0.3621 0.0882
Ac7 Ac 0.7683 0.7683 0.7683
Ac8 Ac 0.9118 0.3218 0.6379
Pm1 Pm 0.1284 0.4388 0.8206
Pm2 Pm 0.1794 0.8716 0.5612
Pm3 Pm 0.4388 0.8206 0.1284
Pm4 Pm 0.5612 0.1794 0.8716
Pm5 Pm 0.8206 0.1284 0.4388
Pm6 Pm 0.8716 0.5612 0.1794
Nd1 Nd 0.5000 0.5000 0.5000
```

Main lines, sorted by position (5° ≤ 2θ ≤ 70°):
2θ 21.46, I 9; 2θ 26.20, I 11; 2θ 28.11, I 10; 2θ 30.53, I 100; 2θ 31.66, I 8; 2θ 43.72, I 14; 2θ 48.20, I 7; 2θ 54.24, I 18


# 10
For Ac4Pm3Nd2, a cell relaxed with PBE gives the calculated XRD peak list in this record (Cu Kα, 1.54184 Å).

```
data_Ac4Pm3Nd2
_chemical_formula_sum 'Ac4 Pm3 Nd2'
_cell_length_a 3.8208
_cell_length_b 3.8208
_cell_length_c 28.3163
_cell_angle_alpha 90.00
_cell_angle_beta 90.00
_cell_angle_gamma 120.00
_space_group_name_H-M_alt 'P 1'
_space_group_IT_number 1
loop_
_space_group_symop_operation_xyz
'x,y,z'
loop_
_atom_site_label
_atom_site_type_symbol
_atom_site_fract_x
_atom_site_fract_y
_atom_site_fract_z
Ac1 Ac 0.0000 0.0000 0.0000
Ac2 Ac 0.0000 0.0000 0.2178
Ac3 Ac 0.3333 0.6667 0.3369
Ac4 Ac 0.3333 0.6667 0.5559
Pm1 Pm 0.0000 0.0000 0.4457
Pm2 Pm 0.3333 0.6667 0.1074
Pm3 Pm 0.3333 0.6667 0.7706
Nd1 Nd 0.0000 0.0000 0.6662
Nd2 Nd 0.0000 0.0000 0.8710
```

Main lines, sorted by position (5° ≤ 2θ ≤ 70°):
2θ 26.95, I 50; 2θ 28.37, I 52; 2θ 29.81, I 86; 2θ 31.31, I 100; 2θ 39.52, I 33; 2θ 47.60, I 42; 2θ 53.07, I 26; 2θ 56.34, I 47


# 11
For Ac8PmNd4, a cell relaxed with PBE gives the calculated XRD peak list in this record (Cu Kα, 1.54184 Å).

```
data_Ac8PmNd4
_chemical_formula_sum 'Ac8 Pm1 Nd4'
_cell_length_a 6.6948
_cell_length_b 6.6948
_cell_length_c 15.9111
_cell_angle_alpha 93.82
_cell_angle_beta 93.82
_cell_angle_gamma 48.67
_space_group_name_H-M_alt 'P 1'
_space_group_IT_number 1
loop_
_space_group_symop_operation_xyz
'x,y,z'
loop_
_atom_site_label
_atom_site_type_symbol
_atom_site_fract_x
_atom_site_fract_y
_atom_site_fract_z
Ac1 Ac 0.0422 0.0422 0.3858
Ac2 Ac 0.1911 0.1911 0.9252
Ac3 Ac 0.2659 0.2659 0.6899
Ac4 Ac 0.4245 0.4245 0.2283
Ac5 Ac 0.5755 0.5755 0.7717
Ac6 Ac 0.7341 0.7341 0.3101
Ac7 Ac 0.8089 0.8089 0.0748
Ac8 Ac 0.9578 0.9578 0.6142
Pm1 Pm 0.5000 0.5000 0.0000
Nd1 Nd 0.1151 0.1151 0.1524
Nd2 Nd 0.3486 0.3486 0.4628
Nd3 Nd 0.6514 0.6514 0.5372
Nd4 Nd 0.8849 0.8849 0.8476
```

Main lines, sorted by position (5° ≤ 2θ ≤ 70°):
2θ 28.22, I 100; 2θ 32.45, I 18; 2θ 32.77, I 17; 2θ 32.88, I 17; 2θ 46.83, I 26; 2θ 55.34, I 16; 2θ 55.74, I 15; 2θ 55.89, I 15


# 12
For AcPm2Nd5, a cell relaxed with PBE gives the calculated XRD peak list in this record (Cu Kα, 1.54184 Å).

```
data_AcPm2Nd5
_chemical_formula_sum 'Ac4 Pm8 Nd20'
_cell_length_a 9.8914
_cell_length_b 9.8917
_cell_length_c 12.0515
_cell_angle_alpha 90.03
_cell_angle_beta 90.10
_cell_angle_gamma 98.20
_space_group_name_H-M_alt 'P 1'
_space_group_IT_number 1
loop_
_space_group_symop_operation_xyz
'x,y,z'
loop_
_atom_site_label
_atom_site_type_symbol
_atom_site_fract_x
_atom_site_fract_y
_atom_site_fract_z
Ac1 Ac 0.0863 0.0849 0.3724
Ac2 Ac 0.2092 0.4593 0.8746
Ac3 Ac 0.7908 0.5407 0.1254
Ac4 Ac 0.9137 0.9151 0.6276
Pm1 Pm 0.1703 0.6666 0.6224
Pm2 Pm 0.2958 0.0390 0.1223
Pm3 Pm 0.3356 0.8324 0.3751
Pm4 Pm 0.4608 0.2077 0.8755
Pm5 Pm 0.5392 0.7923 0.1245
Pm6 Pm 0.6644 0.1676 0.6249
Pm7 Pm 0.7042 0.9610 0.8777
Pm8 Pm 0.8297 0.3334 0.3776
Nd1 Nd 0.0413 0.2905 0.1242
Nd2 Nd 0.0408 0.2944 0.6238
Nd3 Nd 0.0848 0.0835 0.8775
Nd4 Nd 0.1709 0.6700 0.1270
Nd5 Nd 0.2088 0.4621 0.3747
Nd6 Nd 0.2971 0.0412 0.6265
Nd7 Nd 0.3333 0.8366 0.8746
Nd8 Nd 0.4163 0.4132 0.1274
Nd9 Nd 0.4187 0.4135 0.6229
Nd10 Nd 0.4604 0.2094 0.3744
Nd11 Nd 0.5396 0.7906 0.6256
Nd12 Nd 0.5813 0.5865 0.3771
Nd13 Nd 0.5837 0.5868 0.8726
Nd14 Nd 0.6667 0.1634 0.1254
Nd15 Nd 0.7029 0.9588 0.3735
Nd16 Nd 0.7912 0.5379 0.6253
Nd17 Nd 0.8291 0.3300 0.8730
Nd18 Nd 0.9152 0.9165 0.1225
Nd19 Nd 0.9592 0.7056 0.3762
Nd20 Nd 0.9587 0.7095 0.8758
```

Main lines, sorted by position (5° ≤ 2θ ≤ 70°):
2θ 27.55, I 23; 2θ 29.65, I 26; 2θ 31.36, I 100; 2θ 40.92, I 16; 2θ 48.71, I 20; 2θ 53.71, I 18; 2θ 58.03, I 12; 2θ 59.09, I 16